Structure and theoretical PXRD pattern of La2AlSiAu6 (a structure optimized by DFT (GGA-PBE); a wavelength of 1.5418 Å).
Intensities are scaled so that the largest is 100.

Most intense lines, 2θ = 10–80°, by intensity:
2theta	I_rel	(hkl)
30.89	100	2 1 2
30.75	66	1 2 0
32.40	47	2 0 0
41.14	44	2 3 2
30.61	40	1 0 2
37.43	31	0 2 2
15.82	28	0 0 1
41.92	26	2 1 -1
40.86	25	1 -2 0
32.15	24	0 2 0

Structure:
```
data_La2AlSiAu6
_space_group_name_H-M_alt 'P -1'
_space_group_IT_number 2
_cell_length_a 6.758
_cell_length_b 6.773
_cell_length_c 6.814
_cell_angle_alpha 60.71
_cell_angle_beta 60.32
_cell_angle_gamma 60.32
loop_
_space_group_symop_operation_xyz
'x,y,z'
'-x,-y,-z'
loop_
_atom_site_label
_atom_site_type_symbol
_atom_site_fract_x
_atom_site_fract_y
_atom_site_fract_z
_atom_site_occupancy
La1 La 0.202 0.202 0.396 1
Al1 Al 0.500 0.500 0.500 1
Si1 Si 0.000 0.000 0.000 1
Au1 Au 0.162 0.671 0.833 1
Au2 Au 0.323 0.668 0.172 1
Au3 Au 0.335 0.162 0.830 1
```

---

Structure and theoretical PXRD pattern of Al2PbBr8 (a structure optimized by DFT (GGA-PBE); a wavelength of 1.5418 Å).
Intensities are scaled so that the largest is 100.

Most intense lines, 2θ = 10–80°, by intensity:
2theta	I_rel	(hkl)
26.45	100	4 2 -2
11.03	60	1 1 0
11.69	42	2 0 0
27.09	38	2 0 2
40.53	26	6 2 0
17.67	24	1 1 -2
23.46	23	2 2 -2
17.93	20	3 1 -2
35.79	17	2 2 -4
19.95	17	3 1 0

Structure:
```
data_Al2PbBr8
_space_group_name_H-M_alt 'C 1 2/c 1'
_space_group_IT_number 15
_cell_length_a 19.506
_cell_length_b 9.455
_cell_length_c 12.721
_cell_angle_alpha 90.00
_cell_angle_beta 129.11
_cell_angle_gamma 90.00
loop_
_space_group_symop_operation_xyz
'x,y,z'
'-x,-y,-z'
'-x,y,-z+1/2'
'x,-y,z+1/2'
'x+1/2,y+1/2,z'
'-x+1/2,-y+1/2,-z'
'-x+1/2,y+1/2,-z+1/2'
'x+1/2,-y+1/2,z+1/2'
loop_
_atom_site_label
_atom_site_type_symbol
_atom_site_fract_x
_atom_site_fract_y
_atom_site_fract_z
_atom_site_occupancy
Al1 Al 0.094 0.243 0.043 1
Pb1 Pb 0.000 0.494 0.250 1
Br1 Br 0.056 0.280 0.648 1
Br2 Br 0.108 0.255 0.240 1
Br3 Br 0.148 0.034 0.036 1
Br4 Br 0.168 0.438 0.038 1
```

---

Structure and theoretical PXRD pattern of Sr12TlAg6 (a structure optimized by DFT (GGA-PBE); a wavelength of 1.5418 Å).
Intensities are scaled so that the largest is 100.

Most intense lines, 2θ = 10–80°, by intensity:
2theta	I_rel	(hkl)
29.61	100	3 1 2
40.76	32	4 3 1
15.70	24	2 0 0
27.37	24	2 2 2
49.80	20	5 2 3
33.69	19	4 1 1
57.76	17	5 3 4
31.71	15	4 0 0
46.94	13	5 3 0
48.39	13	6 0 0

Structure:
```
data_Sr12TlAg6
_space_group_name_H-M_alt 'I m -3'
_space_group_IT_number 204
_space_group_name_Hall '-I 2 2 3'
_cell_length_a 11.287
_cell_length_b 11.287
_cell_length_c 11.287
_cell_angle_alpha 90.00
_cell_angle_beta 90.00
_cell_angle_gamma 90.00
loop_
_atom_site_label
_atom_site_type_symbol
_atom_site_fract_x
_atom_site_fract_y
_atom_site_fract_z
_atom_site_occupancy
Sr1 Sr 0.000 0.295 0.182 1
Tl1 Tl 0.000 0.000 0.000 1
Ag1 Ag 0.000 0.125 0.500 1
```

---

Structure and theoretical PXRD pattern of RbNbTlAsPd (a structure optimized by DFT (GGA-PBE); a wavelength of 1.5418 Å).
Intensities are scaled so that the largest is 100.

Most intense lines, 2θ = 10–80°, by intensity:
2theta	I_rel	(hkl)
34.49	100	1 0 5
36.89	62	1 1 0
41.27	32	1 0 7
64.93	32	2 1 5
53.16	22	2 0 0
27.00	16	0 0 6
57.75	16	1 0 11
46.31	15	1 1 6
38.03	14	1 1 2
69.45	13	2 1 7

Structure:
```
data_RbNbTlAsPd
_space_group_name_H-M_alt 'I 4 m m'
_space_group_IT_number 107
_space_group_name_Hall 'I 4 -2'
_cell_length_a 3.446
_cell_length_b 3.446
_cell_length_c 19.818
_cell_angle_alpha 90.00
_cell_angle_beta 90.00
_cell_angle_gamma 90.00
loop_
_atom_site_label
_atom_site_type_symbol
_atom_site_fract_x
_atom_site_fract_y
_atom_site_fract_z
_atom_site_occupancy
Rb1 Rb 0.000 0.000 0.000 1
Nb1 Nb 0.000 0.000 0.804 1
Tl1 Tl 0.000 0.000 0.200 1
As1 As 0.000 0.000 0.361 1
Pd1 Pd 0.000 0.000 0.633 1
```

---

Structure and theoretical PXRD pattern of K3MoI6 (a structure optimized by DFT (GGA-PBE); a wavelength of 1.5418 Å).
Intensities are scaled so that the largest is 100.

Most intense lines, 2θ = 10–80°, by intensity:
2theta	I_rel	(hkl)
29.11	100	4 0 0
25.14	98	2 2 2
41.64	68	4 4 0
14.44	61	2 0 0
49.26	37	6 2 2
12.49	27	1 1 1
32.64	27	4 2 0
68.38	24	8 4 0
51.61	22	4 4 4
38.11	21	5 1 1

Structure:
```
data_K3MoI6
_space_group_name_H-M_alt 'F m -3 m'
_space_group_IT_number 225
_space_group_name_Hall '-F 4 2 3'
_cell_length_a 12.270
_cell_length_b 12.270
_cell_length_c 12.270
_cell_angle_alpha 90.00
_cell_angle_beta 90.00
_cell_angle_gamma 90.00
loop_
_atom_site_label
_atom_site_type_symbol
_atom_site_fract_x
_atom_site_fract_y
_atom_site_fract_z
_atom_site_occupancy
K1 K 0.000 0.000 0.000 1
K2 K 0.250 0.250 0.250 1
Mo1 Mo 0.000 0.000 0.500 1
I1 I 0.000 0.000 0.271 1
```

---

Structure and theoretical PXRD pattern of Pr6HoMg (a structure optimized by DFT (GGA-PBE); a wavelength of 1.5418 Å).
Intensities are scaled so that the largest is 100.

Most intense lines, 2θ = 10–80°, by intensity:
2theta	I_rel	(hkl)
29.95	100	2 2 0
30.31	96	0 2 4
34.75	67	2 0 4
50.38	58	2 4 4
35.29	32	0 4 0
59.14	30	4 2 4
59.78	28	2 2 8
49.50	14	4 0 0
60.07	14	2 6 0
16.07	14	1 1 1

Structure:
```
data_Pr6HoMg
_space_group_name_H-M_alt 'F m m m'
_space_group_IT_number 69
_space_group_name_Hall '-F 2 2'
_cell_length_a 7.367
_cell_length_b 10.174
_cell_length_c 14.473
_cell_angle_alpha 90.00
_cell_angle_beta 90.00
_cell_angle_gamma 90.00
loop_
_atom_site_label
_atom_site_type_symbol
_atom_site_fract_x
_atom_site_fract_y
_atom_site_fract_z
_atom_site_occupancy
Pr1 Pr 0.000 0.000 0.247 1
Pr2 Pr 0.250 0.250 0.122 1
Ho1 Ho 0.000 0.000 0.500 1
Mg1 Mg 0.000 0.000 0.000 1
```